Starting from a structure optimized by DFT (PBE), the powder diffractogram of NaHgPdPb2 was computed for λ = 1.5418 Å (Cu Kα).
Intensities are scaled so that the largest is 100.

Crystal structure
Cell: 5.385 5.385 5.357 Å, 90.00 90.00 90.00°
Space group P4/mmm (No. 123)
Asymmetric unit:
Na: 0.000 0.000 0.000
Hg: 0.500 0.500 0.000
Pd: 0.500 0.500 0.500
Pb: 0.000 0.500 0.500

Main lines, low angle first (10 to 80 degrees two-theta):
Position (°2θ), intensity, h k l
16.5, 84, 0 0 1
28.8, 100, 1 1 1
33.3, 69, 2 0 0
33.5, 34, 0 0 2
37.4, 31, 2 0 1
37.5, 15, 1 0 2
47.8, 25, 2 2 0
47.9, 51, 2 0 2
56.7, 31, 3 1 1
57.0, 15, 1 1 3
59.6, 26, 2 2 2
77.5, 13, 3 1 3